# Gd3NbS3O4
Computed powder X-ray diffraction pattern, Cu Kα (weighted mean of Kα1 and Kα2). Input: DFT lattice parameters and positions (GGA-PBE).
Kinematic intensities with the Lorentz-polarization factor, no thermal factor.

Most intense lines, 10° ≤ 2θ ≤ 90°, low angle first:
- d 3.336, 2θ = 26.7°, intensity 29
- d 3.156, 2θ = 28.3°, intensity 54
- d 3.010, 2θ = 29.7°, intensity 100
- d 2.441, 2θ = 36.8°, intensity 16
- d 2.372, 2θ = 37.9°, intensity 29
- d 2.025, 2θ = 44.7°, intensity 31
- d 1.912, 2θ = 47.6°, intensity 17
- d 1.857, 2θ = 49.1°, intensity 21
- d 1.731, 2θ = 52.9°, intensity 32
- d 1.635, 2θ = 56.3°, intensity 16

Atomic structure:
abc: 6.6721 14.3286 7.6469
angles: 90.00 90.00 90.00
Fractional coordinates of all 44 atoms:
Gd 0.2167 0.1557 0.0000
Gd 0.2235 0.9185 0.2441
Gd 0.2276 0.1665 0.4898
Gd 0.2724 0.6665 0.9898
Gd 0.2765 0.4185 0.7441
Gd 0.2833 0.6557 0.5000
Gd 0.7167 0.3443 0.0000
Gd 0.7235 0.5815 0.2441
Gd 0.7276 0.3335 0.4898
Gd 0.7724 0.8335 0.9898
Gd 0.7765 0.0815 0.7441
Gd 0.7833 0.8443 0.5000
Nb 0.1822 0.9272 0.7578
Nb 0.3178 0.4272 0.2578
Nb 0.6822 0.5728 0.7578
Nb 0.8178 0.0728 0.2578
S 0.0029 0.2735 0.7533
S 0.0283 0.4930 0.4673
S 0.0474 0.2976 0.2354
S 0.4526 0.7976 0.7354
S 0.4717 0.9930 0.9673
S 0.4971 0.7735 0.2533
S 0.5029 0.2265 0.7533
S 0.5283 0.0070 0.4673
S 0.5474 0.2024 0.2354
S 0.9526 0.7024 0.7354
S 0.9717 0.5070 0.9673
S 0.9971 0.7265 0.2533
O 0.1172 0.8647 0.9747
O 0.1235 0.8866 0.5217
O 0.1362 0.0729 0.2556
O 0.1431 0.0631 0.7373
O 0.3569 0.5631 0.2373
O 0.3638 0.5729 0.7556
O 0.3765 0.3866 0.0217
O 0.3828 0.3647 0.4747
O 0.6172 0.6353 0.9747
O 0.6235 0.6134 0.5217
O 0.6362 0.4271 0.2556
O 0.6431 0.4369 0.7373
O 0.8569 0.9369 0.2373
O 0.8638 0.9271 0.7556
O 0.8765 0.1134 0.0217
O 0.8828 0.1353 0.4747

***

# GdNbRh2
Computed powder X-ray diffraction pattern, Cu Kα (weighted mean of Kα1 and Kα2). Input: DFT lattice parameters and positions (GGA-PBE).
Kinematic intensities with the Lorentz-polarization factor, no thermal factor.

Most intense lines, 10° ≤ 2θ ≤ 90°, low angle first:
- d 2.932, 2θ = 30.5°, intensity 12
- d 2.418, 2θ = 37.2°, intensity 6
- d 2.402, 2θ = 37.4°, intensity 100
- d 2.266, 2θ = 39.8°, intensity 48
- d 1.814, 2θ = 50.3°, intensity 7
- d 1.654, 2θ = 55.6°, intensity 8
- d 1.603, 2θ = 57.5°, intensity 16
- d 1.416, 2θ = 66.0°, intensity 12
- d 1.333, 2θ = 70.7°, intensity 30
- d 1.201, 2θ = 79.9°, intensity 7

Atomic structure:
abc: 3.2051 3.2051 7.2550
angles: 90.00 90.00 90.00
Fractional coordinates of all 4 atoms:
Gd 0.0000 0.0000 0.0000
Nb 0.0000 0.0000 0.5000
Rh 0.5000 0.5000 0.2927
Rh 0.5000 0.5000 0.7073

***

# Nd3GdO
Computed powder X-ray diffraction pattern, Cu Kα (weighted mean of Kα1 and Kα2). Input: DFT lattice parameters and positions (GGA-PBE).
Kinematic intensities with the Lorentz-polarization factor, no thermal factor.

Most intense lines, 10° ≤ 2θ ≤ 90°, low angle first:
- d 3.612, 2θ = 24.6°, intensity 1
- d 2.949, 2θ = 30.3°, intensity 100
- d 2.554, 2θ = 35.1°, intensity 57
- d 1.806, 2θ = 50.5°, intensity 40
- d 1.540, 2θ = 60.1°, intensity 44
- d 1.474, 2θ = 63.0°, intensity 14
- d 1.277, 2θ = 74.3°, intensity 6
- d 1.172, 2θ = 82.3°, intensity 18
- d 1.142, 2θ = 84.9°, intensity 18

Atomic structure:
abc: 5.1076 5.1076 5.1076
angles: 90.00 90.00 90.00
Fractional coordinates of all 5 atoms:
Nd 0.0000 0.0000 0.5000
Nd 0.0000 0.5000 0.0000
Nd 0.5000 0.0000 0.0000
Gd 0.5000 0.5000 0.5000
O 0.0000 0.0000 0.0000

***

# NdGdP2
Computed powder X-ray diffraction pattern, Cu Kα (weighted mean of Kα1 and Kα2). Input: DFT lattice parameters and positions (GGA-PBE).
Kinematic intensities with the Lorentz-polarization factor, no thermal factor.

Most intense lines, 10° ≤ 2θ ≤ 90°, low angle first:
- d 3.357, 2θ = 26.6°, intensity 82
- d 2.907, 2θ = 30.8°, intensity 100
- d 2.056, 2θ = 44.0°, intensity 73
- d 1.753, 2θ = 52.2°, intensity 41
- d 1.679, 2θ = 54.7°, intensity 26
- d 1.454, 2θ = 64.1°, intensity 12
- d 1.334, 2θ = 70.6°, intensity 12
- d 1.300, 2θ = 72.7°, intensity 33
- d 1.187, 2θ = 81.0°, intensity 19
- d 1.119, 2θ = 87.1°, intensity 12

Atomic structure:
abc: 7.1155 7.1155 7.1155
angles: 33.60 33.60 33.60
Fractional coordinates of all 4 atoms:
Nd 0.0000 0.0000 0.0000
Gd 0.5000 0.5000 0.5000
P 0.2475 0.2475 0.2475
P 0.7525 0.7525 0.7525

***

# NdGdRh4
Computed powder X-ray diffraction pattern, Cu Kα (weighted mean of Kα1 and Kα2). Input: DFT lattice parameters and positions (GGA-PBE).
Kinematic intensities with the Lorentz-polarization factor, no thermal factor.

Most intense lines, 10° ≤ 2θ ≤ 90°, low angle first:
- d 2.695, 2θ = 33.2°, intensity 39
- d 2.298, 2θ = 39.2°, intensity 100
- d 2.200, 2θ = 41.0°, intensity 29
- d 1.905, 2θ = 47.7°, intensity 1
- d 1.556, 2θ = 59.4°, intensity 15
- d 1.467, 2θ = 63.4°, intensity 32
- d 1.347, 2θ = 69.8°, intensity 26
- d 1.205, 2θ = 79.5°, intensity 6
- d 1.162, 2θ = 83.1°, intensity 11
- d 1.149, 2θ = 84.3°, intensity 11

Atomic structure:
abc: 5.3892 5.3892 5.3892
angles: 60.00 60.00 60.00
Fractional coordinates of all 6 atoms:
Nd 0.0000 0.0000 0.0000
Gd 0.2500 0.2500 0.2500
Rh 0.1253 0.6249 0.6249
Rh 0.6249 0.1253 0.6249
Rh 0.6249 0.6249 0.1253
Rh 0.6249 0.6249 0.6249

***

# NdSmGdSn
Computed powder X-ray diffraction pattern, Cu Kα (weighted mean of Kα1 and Kα2). Input: DFT lattice parameters and positions (GGA-PBE).
Kinematic intensities with the Lorentz-polarization factor, no thermal factor.

Most intense lines, 10° ≤ 2θ ≤ 90°, low angle first:
- d 4.503, 2θ = 19.7°, intensity 1
- d 2.757, 2θ = 32.5°, intensity 100
- d 1.950, 2θ = 46.6°, intensity 18
- d 1.592, 2θ = 57.9°, intensity 39
- d 1.379, 2θ = 68.0°, intensity 12
- d 1.233, 2θ = 77.4°, intensity 17
- d 1.126, 2θ = 86.4°, intensity 4

Atomic structure:
abc: 5.5146 5.5146 5.5146
angles: 60.00 60.00 60.00
Fractional coordinates of all 4 atoms:
Nd 0.0000 0.0000 0.0000
Sm 0.5000 0.5000 0.5000
Gd 0.7500 0.7500 0.7500
Sn 0.2500 0.2500 0.2500

***

# NdGdY2
Computed powder X-ray diffraction pattern, Cu Kα (weighted mean of Kα1 and Kα2). Input: DFT lattice parameters and positions (GGA-PBE).
Kinematic intensities with the Lorentz-polarization factor, no thermal factor.

Most intense lines, 10° ≤ 2θ ≤ 90°, low angle first:
- d 2.941, 2θ = 30.4°, intensity 100
- d 2.553, 2θ = 35.2°, intensity 34
- d 2.536, 2θ = 35.4°, intensity 17
- d 1.805, 2θ = 50.6°, intensity 12
- d 1.799, 2θ = 50.7°, intensity 24
- d 1.538, 2θ = 60.1°, intensity 28
- d 1.531, 2θ = 60.5°, intensity 14
- d 1.471, 2θ = 63.2°, intensity 12
- d 1.171, 2θ = 82.4°, intensity 6
- d 1.168, 2θ = 82.6°, intensity 11

Atomic structure:
abc: 5.1055 5.1055 5.0726
angles: 90.00 90.00 90.00
Fractional coordinates of all 4 atoms:
Nd 0.0000 0.0000 0.0000
Gd 0.5000 0.5000 0.0000
Y 0.0000 0.5000 0.5000
Y 0.5000 0.0000 0.5000

***

# NdGdY2
Computed powder X-ray diffraction pattern, Cu Kα (weighted mean of Kα1 and Kα2). Input: DFT lattice parameters and positions (GGA-PBE).
Kinematic intensities with the Lorentz-polarization factor, no thermal factor.

Most intense lines, 10° ≤ 2θ ≤ 90°, low angle first:
- d 2.944, 2θ = 30.4°, intensity 100
- d 2.555, 2θ = 35.1°, intensity 34
- d 2.539, 2θ = 35.3°, intensity 17
- d 1.806, 2θ = 50.5°, intensity 12
- d 1.801, 2θ = 50.7°, intensity 24
- d 1.540, 2θ = 60.1°, intensity 28
- d 1.533, 2θ = 60.4°, intensity 14
- d 1.472, 2θ = 63.2°, intensity 12
- d 1.172, 2θ = 82.3°, intensity 6
- d 1.169, 2θ = 82.5°, intensity 11

Atomic structure:
abc: 3.6128 3.6128 10.1579
angles: 90.00 90.00 90.00
Fractional coordinates of all 4 atoms:
Nd 0.0000 0.0000 0.0000
Gd 0.0000 0.0000 0.5000
Y 0.5000 0.5000 0.2523
Y 0.5000 0.5000 0.7477

***

# NdGdYZn
Computed powder X-ray diffraction pattern, Cu Kα (weighted mean of Kα1 and Kα2). Input: DFT lattice parameters and positions (GGA-PBE).
Kinematic intensities with the Lorentz-polarization factor, no thermal factor.

Most intense lines, 10° ≤ 2θ ≤ 90°, low angle first:
- d 4.414, 2θ = 20.1°, intensity 10
- d 2.703, 2θ = 33.1°, intensity 100
- d 2.305, 2θ = 39.1°, intensity 6
- d 1.911, 2θ = 47.6°, intensity 18
- d 1.754, 2θ = 52.1°, intensity 3
- d 1.561, 2θ = 59.2°, intensity 37
- d 1.471, 2θ = 63.2°, intensity 2
- d 1.352, 2θ = 69.6°, intensity 11
- d 1.209, 2θ = 79.2°, intensity 16
- d 1.104, 2θ = 88.6°, intensity 4

Atomic structure:
abc: 5.4061 5.4061 5.4061
angles: 60.00 60.00 60.00
Fractional coordinates of all 4 atoms:
Nd 0.0000 0.0000 0.0000
Gd 0.7500 0.7500 0.7500
Y 0.5000 0.5000 0.5000
Zn 0.2500 0.2500 0.2500